For Mg2SiO4, a DFT-relaxed cell (GGA-PBE, the Materials Project) gives the computed X-ray powder pattern in this record (Cu Ka).
Peak positions follow from Bragg's law for the DFT cell and can differ from measured ones.

Structural model:
Lattice parameters (Å, degrees): 5.1091 5.7848 10.0329 92.07 99.19 107.73
Element x y z (fractional)
Mg  0.0000  0.0000  0.0000
Mg  0.0000  0.5000  0.0000
Mg  0.0447  0.2997  0.2776
Mg  0.4782  0.8261  0.5916
Mg  0.4993  0.1151  0.8559
Mg  0.5007  0.8849  0.1441
Mg  0.5218  0.1739  0.4084
Mg  0.9553  0.7003  0.7224
Si  0.1164  0.2470  0.6062
Si  0.4915  0.6043  0.8712
Si  0.5085  0.3957  0.1288
Si  0.8836  0.7530  0.3938
O  0.2231  0.8312  0.4189
O  0.2300  0.0381  0.6845
O  0.2403  0.3172  0.4678
O  0.2517  0.5233  0.7087
O  0.2663  0.7869  0.9296
O  0.2873  0.5488  0.1725
O  0.2903  0.3289  0.9500
O  0.2948  0.1239  0.1789
O  0.7052  0.8761  0.8211
O  0.7097  0.6711  0.0500
O  0.7127  0.4512  0.8275
O  0.7337  0.2131  0.0704
O  0.7483  0.4767  0.2913
O  0.7597  0.6828  0.5322
O  0.7700  0.9619  0.3155
O  0.7769  0.1688  0.5811

Top 10 peaks for 2θ from 10° to 80°, by angle:
2theta	d (Å)	I (rel.)
19.20	4.622	43
30.09	2.970	39
34.72	2.584	44
35.76	2.511	95
35.96	2.497	35
43.95	2.060	97
44.08	2.054	100
44.23	2.048	82
62.68	1.482	45
63.51	1.465	40